Record 1
This entry pairs a crystal structure of PmTm5As6 with its calculated XRD peak list. Radiation: copper Kα. Structure: a crystal structure in Alexandria, relaxed with PBE.
Peak positions follow from Bragg's law for the DFT cell and can differ from measured ones.

Top 6 peaks for 2θ = 5–70°, in order of rising 2θ:
2theta	I/Imax
26.7	25
30.9	100
44.2	74
52.4	12
54.9	26
64.4	12

Cell and atoms:
```
PmTm5As6
1.0
3.5456 -6.1413 0.0000
3.5456 6.1413 0.0000
-2.3619 0.0000 6.6845
Pm Tm As
1 5 6
Cartesian
0.0000 0.0000 0.0000
2.3646 4.1139 3.3423
3.5456 2.0534 0.0000
2.3646 0.0000 3.3423
3.5456 -2.0534 0.0000
2.3646 -4.1139 3.3423
1.2040 2.0836 1.6983
0.0443 0.0000 4.9945
1.2040 -2.0836 1.6983
3.5253 2.0836 4.9862
4.6850 0.0000 1.6900
3.5253 -2.0836 4.9862
```

=====

Record 2
This entry pairs a crystal structure of Pm4UAs5 with its calculated XRD peak list. Radiation: copper Kα. Structure: a crystal structure in Alexandria, relaxed with PBE.
Peak positions follow from Bragg's law for the DFT cell and can differ from measured ones.

Top 10 peaks for 2θ = 5–70°, in order of rising 2θ:
2theta	I/Imax
13.3	2
17.7	2
18.9	1
26.0	25
30.1	100
43.1	75
51.0	13
53.4	27
62.5	12
68.9	5

Cell and atoms:
```
Pm4UAs5
1.0
-4.6951 4.6951 2.9717
4.6951 -4.6951 2.9717
4.6951 4.6951 -2.9717
Pm U As
4 1 5
Cartesian
2.8231 0.9161 0.0000
3.7790 -1.8720 2.9717
0.9161 6.5671 0.0000
1.8720 3.7790 2.9717
0.0000 0.0000 2.9717
0.0000 0.0000 0.0000
5.5996 1.9649 0.0000
1.9649 3.7906 0.0000
2.7302 0.9045 2.9717
-0.9045 2.7302 2.9717
```

=====

Record 3
This entry pairs a crystal structure of Pm3YAs3 with its calculated XRD peak list. Radiation: copper Kα. Structure: a crystal structure in Alexandria, relaxed with PBE.
Peak positions follow from Bragg's law for the DFT cell and can differ from measured ones.

Top 10 peaks for 2θ = 5–70°, in order of rising 2θ:
2theta	I/Imax
24.5	7
28.3	13
31.7	100
37.8	60
47.9	8
50.1	17
52.3	31
64.4	22
66.3	11
68.2	14

Cell and atoms:
```
Pm3YAs3
1.0
8.9141 0.0000 0.0000
0.0000 8.9141 0.0000
0.0000 0.0000 8.9141
Pm Y As
12 4 12
Cartesian
0.5821 3.8749 5.0392
1.6249 7.2892 2.8321
1.6373 1.6373 1.6373
2.8197 7.2768 6.0944
2.8321 1.6249 7.2892
3.8749 5.0392 0.5821
5.0392 0.5821 3.8749
6.0820 6.0820 6.0820
6.0944 2.8197 7.2768
7.2768 6.0944 2.8197
7.2892 2.8321 1.6249
8.3320 8.3320 8.3320
0.5905 5.0475 8.3236
3.8666 3.8666 3.8666
5.0475 8.3236 0.5905
8.3236 0.5905 5.0475
0.0094 2.2594 7.7818
1.1323 4.4664 2.1977
2.1977 1.1323 4.4664
2.2594 7.7818 0.0094
3.3247 4.4477 6.6547
4.4477 6.6547 3.3247
4.4664 2.1977 1.1323
5.5894 8.9047 6.7164
6.6547 3.3247 4.4477
6.7164 5.5894 8.9047
7.7818 0.0094 2.2594
8.9047 6.7164 5.5894
```

=====

Record 4
This entry pairs a crystal structure of Pm2YAs3 with its calculated XRD peak list. Radiation: copper Kα. Structure: a crystal structure in Alexandria, relaxed with PBE.
Peak positions follow from Bragg's law for the DFT cell and can differ from measured ones.

Top 10 peaks for 2θ = 5–70°, in order of rising 2θ:
2theta	I/Imax
13.4	2
21.9	1
25.1	1
26.0	12
30.1	100
43.1	74
51.0	6
53.4	26
62.5	12
68.9	2

Cell and atoms:
```
Pm2YAs3
1.0
0.0000 5.9422 12.6042
4.1996 0.0000 12.6042
4.1996 5.9422 0.0000
Pm Y As
8 4 12
Cartesian
1.0499 1.4855 1.0606
3.1497 4.4566 3.1394
1.0499 1.4855 5.2415
5.2495 7.4277 9.4415
3.1497 4.4566 15.7670
7.3494 10.3988 19.9670
5.2495 7.4277 22.0691
7.3494 10.3988 24.1478
3.1497 4.4566 7.3493
3.1497 4.4566 11.5570
5.2495 7.4277 13.6514
5.2495 7.4277 17.8591
3.1699 1.5121 7.3311
5.2071 4.4566 9.4532
3.1295 1.5121 11.5753
5.2293 4.4832 13.6332
7.3069 7.4277 15.7553
5.2698 4.4832 17.8774
3.1295 7.4012 7.3311
1.0924 4.4566 9.4532
3.1699 7.4012 11.5753
5.2698 10.3723 13.6332
3.1922 7.4277 15.7553
5.2293 10.3723 17.8774
```

=====

Record 5
This entry pairs a crystal structure of PrAsPt3 with its calculated XRD peak list. Radiation: copper Kα. Structure: a crystal structure in Alexandria, relaxed with PBE.
Peak positions follow from Bragg's law for the DFT cell and can differ from measured ones.

Top 10 peaks for 2θ = 5–70°, in order of rising 2θ:
2theta	I/Imax
15.7	13
31.6	12
32.1	19
34.5	100
43.7	42
44.5	26
45.7	18
54.9	10
63.5	14
65.1	13

Cell and atoms:
```
PrAsPt3
1.0
4.1423 0.0000 0.0000
0.0000 4.1423 0.0000
0.0000 0.0000 11.3151
Pr As Pt
2 2 6
Cartesian
0.0000 0.0000 0.0000
2.0712 2.0712 5.6576
0.0000 0.0000 4.2123
2.0712 2.0712 9.8699
0.0000 0.0000 6.6101
0.0000 2.0712 2.8217
0.0000 2.0712 8.4792
2.0712 0.0000 2.8217
2.0712 0.0000 8.4792
2.0712 2.0712 0.9526
```

=====

Record 6
This entry pairs a crystal structure of Pr2AsPt with its calculated XRD peak list. Radiation: copper Kα. Structure: a crystal structure in Alexandria, relaxed with PBE.
Peak positions follow from Bragg's law for the DFT cell and can differ from measured ones.

Top 10 peaks for 2θ = 5–70°, in order of rising 2θ:
2theta	I/Imax
7.4	47
30.0	100
31.9	21
35.3	22
40.1	60
41.5	22
43.6	19
52.1	15
53.9	15
61.8	14

Cell and atoms:
```
Pr2AsPt
1.0
4.1497 0.0000 0.0000
0.0000 23.8150 0.0000
0.0000 0.0000 4.3475
Pr As Pt
8 4 4
Cartesian
0.0000 1.5318 1.0869
0.0000 7.4984 1.0869
0.0000 16.3166 3.2606
0.0000 22.2832 3.2606
2.0748 4.4091 3.2606
2.0748 10.3757 3.2606
2.0748 13.4393 1.0869
2.0748 19.4059 1.0869
0.0000 4.4817 1.0869
0.0000 19.3333 3.2606
2.0748 7.4258 3.2606
2.0748 16.3892 1.0869
0.0000 10.9291 1.0869
0.0000 12.8860 3.2606
2.0748 0.9784 3.2606
2.0748 22.8366 1.0869
```